Theoretical XRD peak list
Compound: YAu
Radiation: Cu Kα (λ = 1.5418 Å)
Structure: a cell relaxed with GGA-PBE
Kinematic intensities with the Lorentz-polarization factor, no thermal factor.

Peak list (10 most intense, 15° ≤ 2θ ≤ 90°, low angle first)
hkl 0 2 0, d = 5.535 Å, rel. 21; hkl 0 2 1, d = 3.583 Å, rel. 20; hkl 1 1 0, d = 3.538 Å, rel. 32; hkl 1 1 1, d = 2.827 Å, rel. 90; hkl 0 4 0, d = 2.767 Å, rel. 29; hkl 0 4 1, d = 2.385 Å, rel. 35; hkl 0 0 2, d = 2.350 Å, rel. 38; hkl 1 3 1, d = 2.292 Å, rel. 100; hkl 2 0 0, d = 1.867 Å, rel. 19; hkl 1 3 3, d = 1.345 Å, rel. 19

Structural model:
```
data_YAu
_space_group_name_H-M_alt 'C m c m'
_space_group_IT_number 63
_space_group_name_Hall '-C 2c 2'
_cell_length_a 3.734
_cell_length_b 11.070
_cell_length_c 4.701
_cell_angle_alpha 90.00
_cell_angle_beta 90.00
_cell_angle_gamma 90.00
loop_
_atom_site_label
_atom_site_fract_x
_atom_site_fract_y
_atom_site_fract_z
Y1 0.000 0.139 0.250
Au1 0.000 0.413 0.250
```


Theoretical XRD peak list
Compound: Y3Zn2Au4
Radiation: Cu Kα (λ = 1.5418 Å)
Structure: a cell relaxed with GGA-PBE
Kinematic intensities with the Lorentz-polarization factor, no thermal factor.

Peak list (10 most intense, 15° ≤ 2θ ≤ 90°, low angle first)
hkl 0 3 1, d = 3.824 Å, rel. 34; hkl 1 1 1, d = 3.259 Å, rel. 34; hkl 1 3 1, d = 2.668 Å, rel. 72; hkl 1 2 2, d = 2.498 Å, rel. 100; hkl 0 3 3, d = 2.246 Å, rel. 51; hkl 0 6 0, d = 2.189 Å, rel. 31; hkl 1 4 2, d = 2.086 Å, rel. 27; hkl 1 5 1, d = 2.071 Å, rel. 30; hkl 2 0 0, d = 1.862 Å, rel. 27; hkl 2 3 3, d = 1.434 Å, rel. 28

Structural model:
```
data_Y3Zn2Au4
_space_group_name_H-M_alt 'A m m 2'
_space_group_IT_number 38
_cell_length_a 3.723
_cell_length_b 13.136
_cell_length_c 7.850
_cell_angle_alpha 90.00
_cell_angle_beta 90.00
_cell_angle_gamma 90.00
loop_
_space_group_symop_operation_xyz
'x,y,z'
'-x,-y,z'
'-x,y,z'
'x,-y,z'
'x,y+1/2,z+1/2'
'-x,-y+1/2,z+1/2'
'-x,y+1/2,z+1/2'
'x,-y+1/2,z+1/2'
loop_
_atom_site_label
_atom_site_fract_x
_atom_site_fract_y
_atom_site_fract_z
Y1 0.000 0.000 0.000
Y2 0.000 0.190 0.386
Zn1 0.500 0.133 0.728
Au1 0.000 0.000 0.613
Au2 0.500 0.000 0.317
Au3 0.500 0.175 0.079
```


What did the second record say?
Theoretical XRD peak list
Compound: Y3Zn2Au4
Radiation: Cu Kα (λ = 1.5418 Å)
Structure: a cell relaxed with GGA-PBE
Kinematic intensities with the Lorentz-polarization factor, no thermal factor.

Peak list (10 most intense, 15° ≤ 2θ ≤ 90°, low angle first)
hkl 0 3 1, d = 3.824 Å, rel. 34; hkl 1 1 1, d = 3.259 Å, rel. 34; hkl 1 3 1, d = 2.668 Å, rel. 72; hkl 1 2 2, d = 2.498 Å, rel. 100; hkl 0 3 3, d = 2.246 Å, rel. 51; hkl 0 6 0, d = 2.189 Å, rel. 31; hkl 1 4 2, d = 2.086 Å, rel. 27; hkl 1 5 1, d = 2.071 Å, rel. 30; hkl 2 0 0, d = 1.862 Å, rel. 27; hkl 2 3 3, d = 1.434 Å, rel. 28

Structural model:
```
data_Y3Zn2Au4
_space_group_name_H-M_alt 'A m m 2'
_space_group_IT_number 38
_cell_length_a 3.723
_cell_length_b 13.136
_cell_length_c 7.850
_cell_angle_alpha 90.00
_cell_angle_beta 90.00
_cell_angle_gamma 90.00
loop_
_space_group_symop_operation_xyz
'x,y,z'
'-x,-y,z'
'-x,y,z'
'x,-y,z'
'x,y+1/2,z+1/2'
'-x,-y+1/2,z+1/2'
'-x,y+1/2,z+1/2'
'x,-y+1/2,z+1/2'
loop_
_atom_site_label
_atom_site_fract_x
_atom_site_fract_y
_atom_site_fract_z
Y1 0.000 0.000 0.000
Y2 0.000 0.190 0.386
Zn1 0.500 0.133 0.728
Au1 0.000 0.000 0.613
Au2 0.500 0.000 0.317
Au3 0.500 0.175 0.079
```